Calculated powder XRD pattern of K5Nb4O12F for CuKα, from a structure optimized by DFT (GGA-PBE).
Intensities are scaled so that the largest is 100.

Cell and atoms:
a = 5.1784 Å, b = 12.0545 Å, c = 12.9424 Å
α = 90.00°, β = 110.98°, γ = 90.00°
Space group P2_1/c (No. 14)
One atom of each set of equivalent atoms:
K 0.0000 0.0000 0.0000
K 0.2769 0.1461 0.8298
K 0.4082 0.6697 0.3502
Nb 0.0654 0.6428 0.0231
Nb 0.3282 0.0128 0.3554
O 0.0035 0.1029 0.3309
O 0.0786 0.2185 0.9991
O 0.1501 0.6274 0.8843
O 0.2831 0.0413 0.5387
O 0.3168 0.5215 0.7177
O 0.4490 0.6610 0.1198
F 0.5000 0.0000 0.0000

Top 10 peaks for 2θ = 10–90°, low angle first:
| (hkl) | 2θ/deg | I_rel |
| --- | --- | --- |
| 0 1 1 | 10.37 | 100 |
| 0 2 0 | 14.68 | 33 |
| 1 1 1 | 23.32 | 13 |
| 1 0 2 | 27.45 | 36 |
| 1 3 -1 | 28.12 | 72 |
| 1 0 -4 | 28.69 | 38 |
| 0 3 3 | 31.45 | 38 |
| 2 0 -2 | 34.68 | 16 |
| 2 3 1 | 46.71 | 16 |
| 2 3 -5 | 48.30 | 17 |